The following is a computed powder diffractogram of Ni5Se4Br2O12. It was derived from a PBE+U-relaxed structure, using Cu Kα (λ = 1.5418 Å).

Top 10 peaks for 10° ≤ 2θ ≤ 90°, in order of falling intensity:
| 2θ (°) | Rel. int. | hkl |
| --- | --- | --- |
| 28.5 | 100 | 2 0 0 |
| 31.9 | 79 | 0 2 -1 |
| 28.2 | 64 | 2 0 1 |
| 37.2 | 63 | 0 3 2 |
| 33.8 | 62 | 2 2 1 |
| 32.8 | 44 | 1 -1 2 |
| 24.9 | 44 | 0 2 0 |
| 34.7 | 43 | 1 1 3 |
| 23.9 | 42 | 0 1 2 |
| 37.6 | 42 | 1 1 -2 |

Cell and atoms:
```
data_Ni5Se4Br2O12
_chemical_formula_sum 'Ni5 Se4 Br2 O12'
_symmetry_space_group_name_H-M 'P -1'
_symmetry_Int_Tables_number 2
_cell_length_a 6.524
_cell_length_b 7.750
_cell_length_c 7.829
_cell_angle_alpha 67.65
_cell_angle_beta 73.91
_cell_angle_gamma 81.71
loop_
_symmetry_equiv_pos_as_xyz
'x,y,z'
'-x,-y,-z'
loop_
_atom_site_label
_atom_site_fract_x
_atom_site_fract_y
_atom_site_fract_z
Ni1 0.000 0.000 0.000
Ni2 0.129 0.692 0.421
Ni3 0.322 0.875 0.649
Se1 0.207 0.165 0.229
Se2 0.341 0.306 0.686
Br1 0.199 0.666 0.020
O1 0.041 0.800 0.631
O2 0.161 0.958 0.209
O3 0.162 0.406 0.543
O4 0.265 0.077 0.783
O5 0.360 0.094 0.393
O6 0.421 0.699 0.481
```